Record 1
Theoretical powder diffractogram of Sm2DyErS5 for Cu Kα, 1.54184 Å, from DFT lattice parameters and positions (GGA-PBE).

Top 10 peaks for 2θ from 10° to 90°, by intensity:
Position (°2θ)	d (Å)	intensity	h k l
25.35	3.513	100	1 0 2
26.03	3.423	98	1 1 0
37.15	2.420	55	2 0 0
45.51	1.993	44	2 1 2
52.08	1.756	23	2 0 4
32.15	2.784	23	1 0 3
44.27	2.046	23	1 1 4
60.49	1.531	21	3 1 0
37.26	2.414	20	1 1 3
53.55	1.711	19	2 2 0

Atomic structure:
Cell lengths 4.841, 4.841, 10.211 Å; angles 90.00, 90.00, 90.00 degrees
Space group P4/mmm (No. 123)
Inequivalent atoms, fractional coordinates:
Sm 0.000 0.000 0.197
Dy 0.500 0.500 0.500
Er 0.500 0.500 0.000
S 0.000 0.000 0.500
S 0.000 0.500 0.000
S 0.500 0.500 0.254



Record 2
Theoretical powder diffractogram of SmDyEr2S4 for Cu Kα, 1.54184 Å, from DFT lattice parameters and positions (GGA-PBE).

Top 10 peaks for 2θ from 10° to 90°, by intensity:
Position (°2θ)	d (Å)	intensity	h k l
32.38	2.765	100	1 1 1
28.15	3.170	40	1 1 -1
46.28	1.962	24	1 1 -3
46.59	1.950	24	3 1 -1
27.62	3.229	21	0 0 2
27.86	3.203	21	2 0 0
45.93	1.976	12	2 0 2
58.20	1.585	12	2 2 -2
46.98	1.934	12	0 2 0
67.78	1.383	11	2 2 2

Atomic structure:
Cell lengths 6.772, 3.868, 6.828 Å; angles 90.00, 108.94, 90.00 degrees
Space group P2/m (No. 10)
Inequivalent atoms, fractional coordinates:
Sm 0.000 0.000 0.000
Dy 0.500 0.500 0.000
Er 0.000 0.500 0.500
Er 0.500 0.000 0.500
S 0.252 0.000 0.742
S 0.258 0.500 0.261



Record 3
Theoretical powder diffractogram of Tb4DyEr3S8 for Cu Kα, 1.54184 Å, from DFT lattice parameters and positions (GGA-PBE).

Top 10 peaks for 2θ from 10° to 90°, by intensity:
Position (°2θ)	d (Å)	intensity	h k l
32.46	2.759	100	0 2 4
28.01	3.185	83	2 0 2
46.50	1.953	36	2 0 8
46.61	1.948	36	2 2 0
55.20	1.664	30	2 2 6
57.95	1.591	19	4 0 4
86.47	1.125	19	6 0 0
77.27	1.235	16	2 2 12
77.43	1.233	16	2 4 4
67.96	1.379	12	0 4 8

Atomic structure:
Cell lengths 7.7938, 7.7938, 19.1544 Å; angles 90.00, 90.00, 120.00 degrees
Space group R-3m (No. 166, hexagonal axes)
Inequivalent atoms, fractional coordinates:
Tb 0.0000 0.0000 0.0000
Tb 0.0000 0.5000 0.0000
Dy 0.0000 0.0000 0.5000
Er 0.0000 0.5000 0.5000
S 0.0000 0.0000 0.2478
S 0.0019 0.5010 0.7517



Record 4
Theoretical powder diffractogram of Tb2DyErS6 for Cu Kα, 1.54184 Å, from DFT lattice parameters and positions (GGA-PBE).

Top 10 peaks for 2θ from 10° to 90°, by intensity:
Position (°2θ)	d (Å)	intensity	h k l
25.77	3.457	100	1 1 0
24.31	3.661	98	1 0 4
39.14	2.301	82	1 1 6
45.44	1.996	48	3 0 0
35.72	2.513	47	0 2 4
44.57	2.033	47	2 1 4
17.64	5.027	41	0 1 2
51.71	1.768	25	1 0 10
61.50	1.508	21	4 -2 6
65.12	1.432	20	3 -1 10

Atomic structure:
Cell lengths 6.9140, 6.9140, 18.5032 Å; angles 90.00, 90.00, 120.00 degrees
Space group R3 (No. 146, hexagonal axes)
Inequivalent atoms, fractional coordinates:
Tb 0.0000 0.0000 0.0000
Tb 0.0000 0.0000 0.4994
Dy 0.0000 0.0000 0.2015
Er 0.0000 0.0000 0.7006
S 0.0351 0.6732 0.7681
S 0.0358 0.3655 0.2684



Record 5
Theoretical powder diffractogram of DyEr4TlS8 for Cu Kα, 1.54184 Å, from DFT lattice parameters and positions (GGA-PBE).

Top 10 peaks for 2θ from 10° to 90°, by intensity:
Position (°2θ)	d (Å)	intensity	h k l
25.59	3.481	100	1 1 3
40.60	2.222	38	0 2 7
44.31	2.044	36	2 0 8
44.52	2.035	36	2 2 0
25.66	3.472	34	0 2 1
21.73	4.089	22	1 0 4
40.69	2.217	21	0 3 3
21.84	4.070	20	1 1 0
31.00	2.885	19	0 2 4
61.88	1.500	17	4 1 3

Atomic structure:
Cell lengths 8.1403, 8.1403, 20.0782 Å; angles 90.00, 90.00, 120.00 degrees
Space group R3m (No. 160, hexagonal axes)
Inequivalent atoms, fractional coordinates:
Dy 0.0000 0.0000 0.0000
Er 0.0000 0.0000 0.6210
Er 0.1721 0.3443 0.8276
Tl 0.0000 0.0000 0.3695
S 0.0000 0.0000 0.2283
S 0.0000 0.0000 0.7532
S 0.0432 0.5216 0.7521
S 0.1761 0.3521 0.5761



Record 6
Theoretical powder diffractogram of Dy2ErSb2 for Cu Kα, 1.54184 Å, from DFT lattice parameters and positions (GGA-PBE).

Top 10 peaks for 2θ from 10° to 90°, by intensity:
Position (°2θ)	d (Å)	intensity	h k l
25.42	3.504	100	1 3 0
35.88	2.503	100	2 0 2
31.59	2.832	82	1 1 2
32.92	2.721	74	3 1 0
42.66	2.119	69	0 4 2
49.77	1.832	61	3 3 2
37.78	2.382	44	2 4 0
26.74	3.334	42	2 1 1
38.54	2.336	42	3 2 1
28.66	3.115	41	0 0 2

Atomic structure:
Cell lengths 8.399, 11.566, 6.230 Å; angles 90.00, 90.00, 90.00 degrees
Space group Ibam (No. 72)
Inequivalent atoms, fractional coordinates:
Dy 0.145 0.153 0.000
Er 0.000 0.500 0.250
Sb 0.213 0.108 0.500



Copy entry 6 word for word.
Theoretical powder diffractogram of Dy2ErSb2 for Cu Kα, 1.54184 Å, from DFT lattice parameters and positions (GGA-PBE).

Top 10 peaks for 2θ from 10° to 90°, by intensity:
Position (°2θ)	d (Å)	intensity	h k l
25.42	3.504	100	1 3 0
35.88	2.503	100	2 0 2
31.59	2.832	82	1 1 2
32.92	2.721	74	3 1 0
42.66	2.119	69	0 4 2
49.77	1.832	61	3 3 2
37.78	2.382	44	2 4 0
26.74	3.334	42	2 1 1
38.54	2.336	42	3 2 1
28.66	3.115	41	0 0 2

Atomic structure:
Cell lengths 8.399, 11.566, 6.230 Å; angles 90.00, 90.00, 90.00 degrees
Space group Ibam (No. 72)
Inequivalent atoms, fractional coordinates:
Dy 0.145 0.153 0.000
Er 0.000 0.500 0.250
Sb 0.213 0.108 0.500